CdGe4C8S10N2: theoretical powder diffraction line list (Cu Kα, 1.54184 Å), based on the GGA-PBE geometry in the Materials Project.
Neutral-atom scattering factors, no anomalous dispersion.

Largest 10 diffraction maxima, by angle, 10 to 90 degrees two-theta:
Position (°2θ)  Rel. int.  h k l
10.39  21  0 0 2
11.91  86  1 0 1
18.43  100  1 1 2
23.96  16  2 0 2
25.91  57  1 1 4
28.85  79  2 1 3
32.43  31  2 2 2
35.88  30  1 2 5
47.32  27  1 3 6
50.05  20  3 0 7

Structure:
Cell lengths 8.2557, 8.2557, 17.0244 Å; angles 90.00, 90.00, 90.00 degrees
Space group I-4 (No. 82)
Unique sites:
Cd: 0.0000 0.0000 0.0000
Ge: 0.1314 0.3343 0.8228
C: 0.0407 0.5710 0.1707
C: 0.0855 0.8576 0.4841
S: 0.0000 0.5000 0.5919
S: 0.0498 0.8137 0.7549
S: 0.1164 0.7197 0.1139
N: 0.0000 0.0000 0.5000
N: 0.0000 0.5000 0.2500

CdGe4C8S10N2: theoretical powder diffraction line list (Cu Kα, 1.54184 Å), based on the GGA-PBE geometry in the Materials Project.
Neutral-atom scattering factors, no anomalous dispersion.

Largest 10 diffraction maxima, by angle, 10 to 90 degrees two-theta:
Position (°2θ)  Rel. int.  h k l
12.05  100  1 0 1
19.14  69  1 1 2
24.20  30  2 0 2
28.67  17  1 1 4
29.83  79  2 1 3
32.18  23  2 2 2
38.64  19  3 2 1
47.79  18  4 2 0
50.66  30  1 3 6
57.36  20  5 0 3

Structure:
Cell lengths 8.5118, 8.5118, 14.5555 Å; angles 90.00, 90.00, 90.00 degrees
Space group I-4 (No. 82)
Unique sites:
Cd: 0.0000 0.0000 0.0000
Ge: 0.1013 0.3187 0.8338
C: 0.0442 0.6284 0.3074
C: 0.0877 0.8606 0.4839
S: 0.0000 0.5000 0.5685
S: 0.0878 0.7980 0.7524
S: 0.1304 0.7707 0.0928
N: 0.0000 0.0000 0.5000
N: 0.0000 0.5000 0.2500

CdH6CI3N3: theoretical powder diffraction line list (Cu Kα, 1.54184 Å), based on the GGA-PBE geometry in the Materials Project.
Neutral-atom scattering factors, no anomalous dispersion.

Largest 10 diffraction maxima, by angle, 10 to 90 degrees two-theta:
Position (°2θ)  Rel. int.  h k l
10.54  52  0 2 0
11.56  60  1 1 0
13.84  31  1 1 -1
21.80  47  0 0 2
23.22  100  2 2 0
23.84  31  0 4 1
27.14  34  1 1 2
28.04  19  2 2 1
38.34  36  2 6 -1
41.87  24  4 0 -2

Structure:
Cell lengths 8.9284, 16.7930, 8.4688 Å; angles 90.00, 105.65, 90.00 degrees
Space group Cc (No. 9)
Unique sites:
Cd: 0.0000 0.0446 0.0000
H: 0.0173 0.3293 0.8212
H: 0.0252 0.3206 0.3422
H: 0.0862 0.2123 0.7150
H: 0.0962 0.2072 0.5125
H: 0.4679 0.0863 0.1964
H: 0.4700 0.0919 0.9231
C: 0.0332 0.3162 0.5866
I: 0.0409 0.2068 0.0716
I: 0.2726 0.0413 0.5152
I: 0.3109 0.4587 0.1639
N: 0.0132 0.3518 0.4408
N: 0.0139 0.3577 0.7141
N: 0.0755 0.2396 0.6056

CdH12C4I2N4O4: theoretical powder diffraction line list (Cu Kα, 1.54184 Å), based on the GGA-PBE geometry in the Materials Project.
Neutral-atom scattering factors, no anomalous dispersion.

Largest 10 diffraction maxima, by angle, 10 to 90 degrees two-theta:
Position (°2θ)  Rel. int.  h k l
12.57  100  1 1 1
14.64  83  2 2 0
19.97  29  1 5 1
22.61  26  3 1 1
23.17  27  2 6 0
24.47  29  2 0 2
26.58  34  4 0 0
28.07  69  0 6 2
35.55  37  2 8 2
39.04  50  4 6 2

Structure:
Cell lengths 13.4127, 28.0963, 8.6589 Å; angles 90.00, 90.00, 90.00 degrees
Space group Fdd2 (No. 43)
Unique sites:
Cd: 0.0000 0.0000 0.0000
H: 0.0068 0.1176 0.4351
H: 0.0350 0.2266 0.0831
H: 0.0697 0.3446 0.8296
H: 0.0784 0.3960 0.6210
H: 0.1161 0.0177 0.3726
H: 0.1209 0.2424 0.8072
C: 0.0101 0.2411 0.1953
C: 0.0325 0.4070 0.7207
I: 0.0158 0.4231 0.2847
N: 0.0272 0.3745 0.8333
N: 0.0890 0.2576 0.7120
O: 0.0103 0.0536 0.2238
O: 0.0709 0.2536 0.2971

K2ZrCdH16C8O24: theoretical powder diffraction line list (Cu Kα, 1.54184 Å), based on the GGA-PBE geometry in the Materials Project.
Neutral-atom scattering factors, no anomalous dispersion.

Largest 10 diffraction maxima, by angle, 10 to 90 degrees two-theta:
Position (°2θ)  Rel. int.  h k l
12.53  88  1 0 1
15.53  100  2 0 0
22.62  54  1 1 2
25.42  59  3 0 1
31.35  39  4 0 0
31.78  42  1 3 2
38.20  19  3 0 3
39.01  34  3 3 2
45.25  39  5 1 2
50.88  21  3 5 2

Structure:
Cell lengths 11.4117, 11.4117, 9.0007 Å; angles 90.00, 90.00, 90.00 degrees
Space group I-4 (No. 82)
Unique sites:
K: 0.0000 0.0000 0.0000
K: 0.0000 0.5000 0.2500
Zr: 0.0000 0.5000 0.7500
Cd: 0.0000 0.0000 0.5000
H: 0.0883 0.7555 0.2605
H: 0.0892 0.2550 0.9820
H: 0.1622 0.2478 0.1307
H: 0.1717 0.7445 0.1216
C: 0.0010 0.7234 0.5513
C: 0.0057 0.2298 0.7112
O: 0.0021 0.7942 0.4447
O: 0.0055 0.3112 0.8114
O: 0.0047 0.6118 0.5423
O: 0.0121 0.1226 0.7336
O: 0.1447 0.7034 0.2121
O: 0.1457 0.2062 0.0369